The following is a theoretical powder diffractogram of AcSmNO. It was derived from a DFT-relaxed cell (PBE, OQMD), using Cu Kα, 1.54184 Å.
No peak broadening, texture or thermal motion is included.

Most intense lines, 10° ≤ 2θ ≤ 90°, by angle:
h k l, 2θ/deg, intensity
1 2 0, 24.12, 27
2 0 0, 25.23, 24
1 2 1, 29.49, 100
2 0 1, 30.41, 33
0 0 2, 33.79, 30
0 4 0, 41.75, 16
3 2 0, 43.79, 26
0 4 2, 54.78, 25
3 2 2, 56.43, 25
1 2 3, 57.82, 16

Atomic structure:
a = 7.0607 Å, b = 8.6543 Å, c = 5.3048 Å
α = 90.00°, β = 90.00°, γ = 90.00°
Atoms (fractional coordinates):
Ac: 0.0604 0.1298 0.0000
Ac: 0.4396 0.1298 0.5000
Ac: 0.5604 0.8702 0.0000
Ac: 0.9396 0.8702 0.5000
Sm: 0.0871 0.6173 0.9997
Sm: 0.4129 0.6173 0.4997
Sm: 0.5871 0.3827 0.9997
Sm: 0.9129 0.3827 0.4997
N: 0.0799 0.6126 0.5019
N: 0.4201 0.6126 0.0019
N: 0.5799 0.3874 0.5019
N: 0.9201 0.3874 0.0019
O: 0.0899 0.1513 0.5002
O: 0.4101 0.1513 0.0002
O: 0.5899 0.8487 0.5002
O: 0.9101 0.8487 0.0002